Computed powder X-ray diffraction pattern of Dy2ScCd8 for Cu Kα, from a cell relaxed with GGA-PBE.

Most intense lines, 2θ from 10° to 90°, in order of rising 2θ:
| 2theta | I/Imax |
| --- | --- |
| 27.71 | 129 |
| 32.89 | 195 |
| 35.69 | 179 |
| 35.90 | 1000 |
| 37.08 | 84 |
| 38.09 | 58 |
| 45.91 | 65 |
| 52.54 | 64 |
| 58.85 | 69 |
| 64.48 | 126 |
| 70.87 | 78 |
| 73.35 | 69 |

Crystal structure
```
Dy2ScCd8
1.0
-2.504 3.591 7.273
2.504 -3.591 7.273
2.504 3.591 -7.273
Dy Sc Cd
2 1 8
Direct
0.201 0.201 0.000
0.799 0.799 0.000
0.500 0.500 0.000
0.073 0.364 0.709
0.211 0.000 0.211
0.345 0.636 0.709
0.345 0.845 0.500
0.655 0.155 0.500
0.655 0.364 0.291
0.789 0.000 0.789
0.927 0.636 0.291
```



Computed powder X-ray diffraction pattern of Ac16Ir3Os5 for Cu Kα, from a cell relaxed with GGA-PBE.

Most intense lines, 2θ from 10° to 90°, in order of rising 2θ:
| 2theta | I/Imax |
| --- | --- |
| 12.79 | 131 |
| 13.38 | 252 |
| 26.95 | 1000 |
| 30.64 | 539 |
| 35.22 | 172 |
| 40.44 | 353 |
| 41.51 | 539 |
| 46.14 | 186 |
| 50.19 | 172 |
| 52.47 | 123 |
| 67.11 | 133 |
| 69.41 | 205 |

Crystal structure
```
Ac16Ir3Os5
1.0
7.532 -4.352 0.000
7.532 4.352 0.000
-0.015 0.000 13.840
Ac Ir Os
16 3 5
Direct
0.000 0.000 0.000
0.001 0.001 0.500
0.031 0.489 0.984
0.166 0.668 0.728
0.168 0.168 0.730
0.334 0.833 0.228
0.337 0.337 0.223
0.488 0.488 0.984
0.489 0.031 0.984
0.517 0.517 0.483
0.519 0.973 0.483
0.668 0.166 0.728
0.671 0.671 0.723
0.833 0.334 0.228
0.835 0.835 0.227
0.973 0.519 0.483
0.168 0.168 0.111
0.336 0.836 0.611
0.836 0.336 0.611
0.169 0.668 0.112
0.334 0.334 0.838
0.666 0.666 0.340
0.668 0.169 0.112
0.836 0.836 0.611
```



Computed powder X-ray diffraction pattern of ErBe5Cu7 for Cu Kα, from a cell relaxed with GGA-PBE.

Most intense lines, 2θ from 10° to 90°, in order of rising 2θ:
| 2theta | I/Imax |
| --- | --- |
| 21.83 | 606 |
| 22.57 | 188 |
| 31.60 | 280 |
| 34.84 | 216 |
| 38.73 | 715 |
| 40.07 | 408 |
| 44.50 | 235 |
| 44.90 | 1000 |
| 46.08 | 243 |
| 61.41 | 135 |
| 76.17 | 195 |
| 82.25 | 233 |

Crystal structure
```
ErBe5Cu7
1.0
-2.250 4.072 4.072
2.250 -4.072 4.072
2.250 4.072 -4.072
Er Be Cu
1 5 7
Direct
0.000 0.000 0.000
0.008 0.005 0.504
0.008 0.503 0.003
0.238 0.738 0.500
0.500 0.005 0.997
0.500 0.503 0.496
0.223 0.509 0.714
0.348 0.348 0.000
0.349 0.998 0.351
0.647 0.998 0.649
0.648 0.648 0.000
0.777 0.277 0.500
0.794 0.509 0.286
```